Diffraction record for Ba6Bi13Se26. The XRD peak list is simulated, not measured: it uses a crystal structure in the Materials Project, relaxed with PBE and a wavelength of 1.5418 Å.
Intensities are scaled so that the largest is 100.

Largest 10 diffraction maxima, sorted by position, 10° ≤ 2θ ≤ 90°:
- 2θ = 24.15°, d = 3.685 Å, I 50.4
- 2θ = 24.91°, d = 3.574 Å, I 38.2
- 2θ = 27.37°, d = 3.259 Å, I 40.4
- 2θ = 28.88°, d = 3.091 Å, I 39.4
- 2θ = 29.07°, d = 3.072 Å, I 45.5
- 2θ = 29.37°, d = 3.041 Å, I 64.8
- 2θ = 29.50°, d = 3.028 Å, I 100.0
- 2θ = 35.83°, d = 2.506 Å, I 41.5
- 2θ = 40.80°, d = 2.211 Å, I 32.0
- 2θ = 41.95°, d = 2.153 Å, I 67.0

Structural model:
```
Ba6Bi13Se26
1.0
17.528 0.000 0.000
0.000 4.307 0.000
-0.182 0.000 18.811
Ba Bi Se
6 13 26
Cartesian
0.000 0.000 0.000
0.026 2.153 10.455
8.826 0.000 1.676
9.083 2.153 12.186
12.915 2.153 8.971
13.599 0.000 3.089
1.548 2.153 3.646
2.694 0.000 15.031
3.086 0.000 7.314
4.637 2.153 10.718
5.890 2.153 4.423
6.125 2.153 15.934
7.476 0.000 8.182
9.825 0.000 16.250
10.213 2.153 5.560
13.010 0.000 13.252
13.325 2.153 17.655
16.314 0.000 6.463
16.499 2.153 14.615
0.288 0.000 13.094
1.076 2.153 7.154
1.125 2.153 16.473
2.228 2.153 1.090
2.677 0.000 10.266
3.778 0.000 4.467
4.143 2.153 13.674
4.637 0.000 17.177
5.168 2.153 7.814
6.366 2.153 1.855
6.719 0.000 10.941
7.740 0.000 14.372
7.949 0.000 5.109
8.462 2.153 17.765
9.274 2.153 8.669
11.072 2.153 2.935
11.339 0.000 11.055
11.342 2.153 14.789
11.753 0.000 18.720
11.972 0.000 6.301
14.546 2.153 5.820
14.564 2.153 12.178
15.002 0.000 16.091
15.172 2.153 1.028
15.456 0.000 9.138
17.180 0.000 3.502
```

Diffraction record for Ba4Sn9Bi3. The XRD peak list is simulated, not measured: it uses a crystal structure in the Materials Project, relaxed with PBE and a wavelength of 1.5418 Å.
Intensities are scaled so that the largest is 100.

Largest 10 diffraction maxima, sorted by position, 10° ≤ 2θ ≤ 90°:
- 2θ = 28.03°, d = 3.183 Å, I 13.9
- 2θ = 28.31°, d = 3.153 Å, I 15.8
- 2θ = 30.43°, d = 2.937 Å, I 11.9
- 2θ = 31.30°, d = 2.858 Å, I 31.7
- 2θ = 32.19°, d = 2.781 Å, I 100.0
- 2θ = 34.33°, d = 2.612 Å, I 12.2
- 2θ = 49.60°, d = 1.838 Å, I 20.4
- 2θ = 56.27°, d = 1.635 Å, I 20.6
- 2θ = 59.83°, d = 1.546 Å, I 22.0
- 2θ = 60.37°, d = 1.533 Å, I 11.7

Structural model:
```
Ba4Sn9Bi3
1.0
7.351 0.000 0.000
-3.676 6.366 0.000
0.000 0.000 22.865
Ba Sn Bi
8 18 6
Cartesian
0.000 0.000 0.000
0.000 0.000 5.716
0.000 0.000 11.432
0.000 0.000 17.148
0.000 4.244 3.068
0.000 4.244 8.364
3.676 2.122 14.500
3.676 2.122 19.797
-1.524 3.364 17.148
0.000 2.454 14.288
0.000 2.454 20.009
-1.550 5.139 14.288
-1.550 5.139 20.009
2.125 1.227 2.856
2.125 1.227 8.577
1.524 3.364 17.148
0.000 6.004 17.148
3.676 0.362 5.716
2.151 3.002 5.716
1.550 5.139 14.288
1.550 5.139 20.009
5.226 1.227 2.856
5.226 1.227 8.577
3.676 3.912 2.856
3.676 3.912 8.577
5.200 3.002 5.716
-1.838 3.183 0.000
-1.838 3.183 11.432
3.676 0.000 0.000
3.676 0.000 11.432
1.838 3.183 0.000
1.838 3.183 11.432
```

Diffraction record for Ba5Sn9Bi6. The XRD peak list is simulated, not measured: it uses a crystal structure in the Materials Project, relaxed with PBE and a wavelength of 1.5418 Å.
Intensities are scaled so that the largest is 100.

Largest 10 diffraction maxima, sorted by position, 10° ≤ 2θ ≤ 90°:
- 2θ = 27.84°, d = 3.204 Å, I 20.6
- 2θ = 28.40°, d = 3.143 Å, I 13.9
- 2θ = 29.30°, d = 3.049 Å, I 13.6
- 2θ = 30.51°, d = 2.930 Å, I 32.4
- 2θ = 31.99°, d = 2.797 Å, I 100.0
- 2θ = 33.78°, d = 2.654 Å, I 32.6
- 2θ = 48.91°, d = 1.862 Å, I 24.2
- 2θ = 56.98°, d = 1.616 Å, I 12.5
- 2θ = 59.63°, d = 1.551 Å, I 35.3
- 2θ = 87.06°, d = 1.119 Å, I 8.9

Structural model:
```
Ba5Sn9Bi6
1.0
7.449 0.000 0.000
-3.724 6.451 0.000
0.000 0.000 28.011
Ba Sn Bi
10 18 12
Cartesian
0.000 0.000 4.431
0.000 0.000 9.575
0.000 0.000 18.436
0.000 0.000 23.580
0.000 4.301 1.594
0.000 4.301 7.003
0.000 4.301 12.412
3.724 2.150 15.599
3.724 2.150 21.008
3.724 2.150 26.417
-1.548 3.407 18.207
-1.548 3.407 23.809
0.000 2.524 21.008
-1.538 5.189 21.008
2.186 1.262 7.003
1.548 3.407 18.207
1.548 3.407 23.809
0.000 6.088 18.207
0.000 6.088 23.809
3.724 0.363 4.202
3.724 0.363 9.804
2.177 3.044 4.202
2.177 3.044 9.804
1.538 5.189 21.008
5.263 1.262 7.003
3.724 3.927 7.003
5.272 3.044 4.202
5.272 3.044 9.804
0.000 2.139 15.434
0.000 2.139 26.583
-1.872 5.381 15.434
-1.872 5.381 26.583
1.852 1.069 1.428
1.852 1.069 12.577
1.872 5.381 15.434
1.872 5.381 26.583
5.597 1.069 1.428
5.597 1.069 12.577
3.724 4.312 1.428
3.724 4.312 12.577
```

Diffraction record for Ba3Sn4Bi. The XRD peak list is simulated, not measured: it uses a crystal structure in the Materials Project, relaxed with PBE and a wavelength of 1.5418 Å.
Intensities are scaled so that the largest is 100.

Largest 10 diffraction maxima, sorted by position, 10° ≤ 2θ ≤ 90°:
- 2θ = 26.49°, d = 3.365 Å, I 25.2
- 2θ = 26.92°, d = 3.311 Å, I 18.9
- 2θ = 29.17°, d = 3.062 Å, I 100.0
- 2θ = 30.17°, d = 2.962 Å, I 94.8
- 2θ = 38.13°, d = 2.360 Å, I 14.3
- 2θ = 40.16°, d = 2.246 Å, I 15.2
- 2θ = 40.58°, d = 2.223 Å, I 38.4
- 2θ = 43.19°, d = 2.094 Å, I 15.4
- 2θ = 56.78°, d = 1.621 Å, I 24.1
- 2θ = 59.17°, d = 1.561 Å, I 13.5

Structural model:
```
Ba3Sn4Bi
1.0
-4.683 4.683 6.729
4.683 -4.683 6.729
4.683 4.683 -6.729
Ba Sn Bi
6 8 2
Cartesian
6.222 1.539 0.000
0.000 0.000 3.365
1.539 3.144 0.000
3.144 1.539 6.729
0.000 0.000 10.094
-1.539 3.144 6.729
5.982 -1.299 2.587
3.384 -1.299 4.142
3.384 1.299 2.587
5.982 1.299 4.142
-1.299 3.384 2.587
1.299 3.384 4.142
1.299 5.982 2.587
-1.299 5.982 4.142
0.000 0.000 0.000
0.000 0.000 6.729
```

Diffraction record for BaNiC4Br. The XRD peak list is simulated, not measured: it uses a crystal structure in the Materials Project, relaxed with PBE and a wavelength of 1.5418 Å.
Intensities are scaled so that the largest is 100.

Largest 10 diffraction maxima, sorted by position, 10° ≤ 2θ ≤ 90°:
- 2θ = 17.66°, d = 5.021 Å, I 13.6
- 2θ = 25.17°, d = 3.538 Å, I 100.0
- 2θ = 30.93°, d = 2.891 Å, I 42.4
- 2θ = 35.74°, d = 2.512 Å, I 22.8
- 2θ = 35.93°, d = 2.499 Å, I 39.3
- 2θ = 44.23°, d = 2.048 Å, I 30.4
- 2θ = 51.58°, d = 1.772 Å, I 26.5
- 2θ = 58.37°, d = 1.581 Å, I 20.3
- 2θ = 64.46°, d = 1.445 Å, I 11.9
- 2θ = 70.38°, d = 1.338 Å, I 21.9

Structural model:
```
BaNiC4Br
1.0
4.999 0.000 0.000
0.000 4.999 0.000
0.000 0.000 5.024
Ba Ni C Br
1 1 4 1
Cartesian
0.000 0.000 0.000
2.499 2.499 2.512
0.624 2.499 2.512
2.499 0.624 2.512
2.499 4.375 2.512
4.375 2.499 2.512
2.499 2.499 0.000
```

Diffraction record for Ba2Cu3BrClO4. The XRD peak list is simulated, not measured: it uses a crystal structure in the Materials Project, relaxed with PBE and a wavelength of 1.5418 Å.
Intensities are scaled so that the largest is 100.

Largest 10 diffraction maxima, sorted by position, 10° ≤ 2θ ≤ 90°:
- 2θ = 11.96°, d = 7.402 Å, I 23.2
- 2θ = 17.02°, d = 5.209 Å, I 31.1
- 2θ = 24.10°, d = 3.693 Å, I 100.0
- 2θ = 32.17°, d = 2.782 Å, I 72.0
- 2θ = 33.23°, d = 2.696 Å, I 95.1
- 2θ = 40.60°, d = 2.222 Å, I 45.2
- 2θ = 46.14°, d = 1.967 Å, I 39.7
- 2θ = 58.04°, d = 1.589 Å, I 36.7
- 2θ = 60.04°, d = 1.541 Å, I 21.3
- 2θ = 69.77°, d = 1.348 Å, I 19.5

Structural model:
```
Ba2Cu3BrClO4
1.0
-2.782 2.782 7.402
2.782 -2.782 7.402
2.782 2.782 -7.402
Ba Cu Br Cl O
2 3 1 1 4
Cartesian
0.000 0.000 1.987
0.000 0.000 12.816
2.782 0.000 0.002
2.782 0.000 7.400
0.000 0.000 7.402
2.782 0.000 3.701
0.000 2.782 3.701
1.430 1.430 0.000
1.352 -1.352 7.402
-1.352 1.352 7.402
1.352 1.352 7.402
```